Starting from DFT lattice parameters and positions (PBE+U), the X-ray diffraction stick pattern of BaSr4Fe5O15 was computed for Cu Kα (weighted mean of Kα1 and Kα2).
Lines closer than 0.1° are merged.

Most intense lines, 2θ from 10° to 80°, sorted by position:
hkl 1 0 0, d = 5.464 Å, I 1; hkl 1 0 2, d = 3.941 Å, I 2; hkl 1 2 1, d = 2.787 Å, I 100; hkl 2 2 -2, d = 2.275 Å, I 14; hkl 0 4 -2, d = 1.971 Å, I 37; hkl 1 0 7, d = 1.763 Å, I 2; hkl 3 2 0, d = 1.609 Å, I 38; hkl 4 0 -2, d = 1.393 Å, I 21; hkl 3 0 6, d = 1.314 Å, I 1; hkl 4 0 3, d = 1.246 Å, I 16

Lattice parameters (Å, degrees): 5.572 7.885 14.743 105.47 100.86 90.02
Space group P-1 (No. 2)
One atom of each set of equivalent atoms:
Ba: 0.000 0.250 0.000
Sr: 0.200 0.450 0.400
Sr: 0.200 0.950 0.400
Sr: 0.399 0.149 0.799
Sr: 0.400 0.650 0.799
Fe: 0.101 0.101 0.202
Fe: 0.101 0.602 0.203
Fe: 0.300 0.300 0.599
Fe: 0.300 0.800 0.599
Fe: 0.500 0.000 0.000
Fe: 0.500 0.500 0.000
O: 0.000 0.250 0.500
O: 0.098 0.848 0.696
O: 0.099 0.349 0.697
O: 0.103 0.850 0.207
O: 0.104 0.358 0.207
O: 0.199 0.947 0.894
O: 0.200 0.447 0.895
O: 0.299 0.050 0.599
O: 0.299 0.550 0.599
O: 0.305 0.053 0.107
O: 0.306 0.553 0.106
O: 0.402 0.152 0.304
O: 0.402 0.651 0.303
O: 0.499 0.750 0.500
O: 0.500 0.257 0.000